[1]
This entry pairs a crystal structure of Sr2Ac4Ru with its computed PXRD pattern. Radiation: Cu Kα (λ = 1.5418 Å). Structure: DFT lattice parameters and positions (GGA-PBE).
Lines closer than 0.1° are merged.

The 10 most intense peaks (10 to 90 degrees two-theta), low angle first:
- 15.76°, intensity 42.7
- 23.24°, intensity 53.5
- 26.67°, intensity 36.4
- 27.94°, intensity 100.0
- 30.53°, intensity 73.8
- 40.97°, intensity 47.0
- 43.71°, intensity 28.0
- 47.76°, intensity 21.6
- 51.94°, intensity 23.8
- 52.68°, intensity 36.0

Structural model:
Unit cell a=10.850 b=10.850 c=10.850 alpha=148.68 beta=148.68 gamma=44.88
Positions (direct):
Sr: 0.159 0.159 0.000
Sr: 0.841 0.841 0.000
Ac: 0.000 0.500 0.500
Ac: 0.358 0.358 0.000
Ac: 0.500 0.000 0.500
Ac: 0.642 0.642 0.000
Ru: 0.500 0.500 0.000



[2]
This entry pairs a crystal structure of NaCePm with its computed PXRD pattern. Radiation: Cu Kα (λ = 1.5418 Å). Structure: DFT lattice parameters and positions (GGA-PBE).
Lines closer than 0.1° are merged.

The 10 most intense peaks (10 to 90 degrees two-theta), low angle first:
- 21.38°, intensity 28.2
- 27.39°, intensity 48.5
- 30.87°, intensity 44.9
- 32.58°, intensity 25.6
- 32.83°, intensity 47.1
- 33.80°, intensity 100.0
- 37.33°, intensity 31.6
- 48.08°, intensity 31.8
- 48.41°, intensity 28.6
- 48.98°, intensity 22.4

Structural model:
Unit cell a=3.785 b=3.785 c=16.775 alpha=96.72 beta=96.72 gamma=59.57
Positions (direct):
Na: 0.000 0.000 0.000
Na: 0.612 0.612 0.814
Ce: 0.122 0.122 0.359
Ce: 0.488 0.488 0.455
Pm: 0.218 0.218 0.628
Pm: 0.393 0.393 0.186



[3]
This entry pairs a crystal structure of CoTe2Rh with its computed PXRD pattern. Radiation: Cu Kα (λ = 1.5418 Å). Structure: DFT lattice parameters and positions (GGA-PBE).
Lines closer than 0.1° are merged.

The 10 most intense peaks (10 to 90 degrees two-theta), low angle first:
- 33.25°, intensity 100.0
- 47.18°, intensity 12.3
- 47.53°, intensity 24.1
- 47.97°, intensity 23.4
- 48.19°, intensity 11.5
- 58.59°, intensity 6.3
- 59.36°, intensity 6.1
- 59.84°, intensity 11.9
- 69.74°, intensity 7.4
- 89.41°, intensity 5.9

Structural model:
Unit cell a=3.853 b=3.777 c=5.381 alpha=90.00 beta=90.71 gamma=90.00
Positions (direct):
Co: 0.000 0.000 0.000
Te: 0.000 0.000 0.500
Te: 0.500 0.500 0.000
Rh: 0.500 0.500 0.500



> Number 1 is which compound?

Sr2Ac4Ru